For LiPr2RuO6, DFT lattice parameters and positions (GGA-PBE) gives the computed powder diffractogram in this record (Cu Ka).
Peak positions follow from Bragg's law for the DFT cell and can differ from measured ones.

Main lines, by angle (10° ≤ 2θ ≤ 90°):
h k l	2theta	d [Å]	intensity
0 1 1	18.98	4.677	39
0 2 0	30.63	2.919	37
1 1 1	31.92	2.803	99
1 1 -3	32.11	2.788	100
2 0 -2	32.58	2.748	52
2 2 -2	45.32	2.001	39
1 3 0	51.14	1.786	41
3 1 -1	57.64	1.599	35

Structure:
a = 5.496 Å, b = 5.838 Å, c = 9.519 Å
α = 90.00°, β = 124.83°, γ = 90.00°
Space group P2_1/c (No. 14)
Inequivalent atoms, fractional coordinates:
Li  0.000  0.000  0.000 x2
Pr  0.233  0.069  0.749 x4
Ru  0.500  0.000  0.500 x2
O  0.160  0.187  0.453 x4
O  0.266  0.713  0.448 x4
O  0.351  0.029  0.256 x4